Structure and theoretical powder diffractogram of V2HgP4O14 (the PBE+U geometry in Alexandria; Cu Ka).
No peak broadening, texture or thermal motion is included.

Structural model:
```
data_V2HgP4O14
_chemical_formula_sum 'V2 Hg1 P4 O14'
_symmetry_space_group_name_H-M 'P -1'
_symmetry_Int_Tables_number 2
_cell_length_a 4.9501
_cell_length_b 6.9789
_cell_length_c 8.2906
_cell_angle_alpha 92.92
_cell_angle_beta 94.02
_cell_angle_gamma 105.20
loop_
_symmetry_equiv_pos_as_xyz
'x,y,z'
'-x,-y,-z'
loop_
_atom_site_label
_atom_site_fract_x
_atom_site_fract_y
_atom_site_fract_z
V1 0.0000 0.0000 0.0000
V2 0.5000 0.5000 0.5000
Hg1 0.0000 0.0000 0.5000
P1 0.0138 0.6375 0.2572
P2 0.3819 0.7587 0.8056
O1 0.1121 0.8099 0.1560
O2 0.1513 0.2996 0.5977
O3 0.1730 0.8864 0.8101
O4 0.2197 0.5332 0.8472
O5 0.2444 0.5509 0.3233
O6 0.3738 0.1871 0.0658
O7 0.4664 0.7416 0.6299
```

Top 6 peaks for 10 to 80 degrees two-theta, by intensity:
2theta  Rel. int.  (hkl)
10.7  100  0 0 1
22.9  99  1 -1 1
28.9  93  -1 1 2
24.5  65  0 1 -2
29.9  64  1 -1 2
18.6  63  1 0 0